Entry 1:
Calculated PXRD pattern
Compound: Na3AlSiSnP2O12
Radiation: Cu Kα (weighted mean of Kα1 and Kα2)
Structure: a cell relaxed with PBE
Kinematic intensities with the Lorentz-polarization factor, no thermal factor.

Atomic structure:
```
data_Na3AlSiSnP2O12
_cell_length_a 15.3197
_cell_length_b 8.8227
_cell_length_c 8.8861
_cell_angle_alpha 90.00
_cell_angle_beta 124.92
_cell_angle_gamma 90.00
_symmetry_space_group_name_H-M 'C 1 c 1'
_symmetry_Int_Tables_number 9
loop_
_symmetry_equiv_pos_as_xyz
'x,y,z'
'x,-y,z+1/2'
'x+1/2,y+1/2,z'
'x+1/2,-y+1/2,z+1/2'
loop_
_atom_site_label
_atom_site_type_symbol
_atom_site_fract_x
_atom_site_fract_y
_atom_site_fract_z
Na1 Na 0.0000 0.0699 0.0000
Na2 Na 0.0654 0.2766 0.7209
Na3 Na 0.3185 0.1097 0.9855
Al1 Al 0.4198 0.2408 0.7884
Si1 Si 0.4592 0.0998 0.4752
Sn1 Sn 0.2123 0.2564 0.1691
P1 P 0.1667 0.1139 0.4850
P2 P 0.3181 0.4562 0.9821
O1 O 0.0593 0.3174 0.9859
O2 O 0.0664 0.1779 0.4628
O3 O 0.1596 0.0638 0.9902
O4 O 0.1635 0.1350 0.3071
O5 O 0.2382 0.3450 0.9791
O6 O 0.2461 0.4528 0.3036
O7 O 0.2688 0.1772 0.6555
O8 O 0.3583 0.1734 0.2810
O9 O 0.3818 0.4420 0.6536
O10 O 0.3984 0.3602 0.9681
O11 O 0.4467 0.1484 0.6377
O12 O 0.4581 0.0835 0.9575
```

Principal peaks in the range 5 to 70 degrees two-theta, sorted by position:
(1 1 -1), 14.1°, d 6.267, intensity 75.7; (1 1 1), 20.0°, d 4.447, intensity 69.7; (0 2 0), 20.1°, d 4.416, intensity 50.3; (0 2 1), 23.6°, d 3.773, intensity 32.2; (2 2 0), 24.7°, d 3.610, intensity 20.8; (2 2 -2), 28.5°, d 3.133, intensity 37.8; (4 2 -1), 31.2°, d 2.866, intensity 19.6; (3 1 1), 31.8°, d 2.810, intensity 100.0; (6 0 -2), 35.1°, d 2.554, intensity 35.7; (3 3 -1), 35.2°, d 2.548, intensity 33.3; (1 3 -3), 45.7°, d 1.984, intensity 21.3; (0 4 2), 48.2°, d 1.887, intensity 28.1

---

Entry 2:
Calculated PXRD pattern
Compound: Na2GaAgCl6
Radiation: Cu Kα (weighted mean of Kα1 and Kα2)
Structure: a cell relaxed with PBE
Kinematic intensities with the Lorentz-polarization factor, no thermal factor.

Atomic structure:
```
data_Na2GaAgCl6
_cell_length_a 10.1167
_cell_length_b 10.1167
_cell_length_c 10.1167
_cell_angle_alpha 90.00
_cell_angle_beta 90.00
_cell_angle_gamma 90.00
_symmetry_space_group_name_H-M 'F m -3 m'
_symmetry_Int_Tables_number 225
_symmetry_space_group_name_Hall '-F 4 2 3'
loop_
_atom_site_label
_atom_site_type_symbol
_atom_site_fract_x
_atom_site_fract_y
_atom_site_fract_z
Na1 Na 0.2500 0.2500 0.2500
Ga1 Ga 0.0000 0.0000 0.0000
Ag1 Ag 0.0000 0.0000 0.5000
Cl1 Cl 0.0000 0.0000 0.2363
```

Principal peaks in the range 5 to 70 degrees two-theta, sorted by position:
(2 0 0), 17.5°, d 5.058, intensity 100.0; (2 2 0), 24.9°, d 3.577, intensity 49.5; (4 0 0), 35.5°, d 2.529, intensity 72.8; (3 3 1), 38.8°, d 2.321, intensity 5.4; (4 2 0), 39.8°, d 2.262, intensity 44.2; (4 2 2), 43.8°, d 2.065, intensity 21.8; (4 4 0), 51.1°, d 1.788, intensity 45.8; (6 0 0), 54.4°, d 1.686, intensity 20.8; (6 2 0), 57.6°, d 1.600, intensity 10.8; (4 4 4), 63.7°, d 1.460, intensity 14.6; (6 4 0), 66.7°, d 1.403, intensity 9.6; (6 4 2), 69.5°, d 1.352, intensity 11.4